ErAlNi5: theoretical X-ray powder pattern (λ = 1.5418 Å (Cu Kα)), based on a crystal structure in Alexandria, relaxed with GGA-PBE.
Kinematic intensities with the Lorentz-polarization factor, no thermal factor.

Structural model:
Cell lengths 7.849, 4.780, 9.964 Å; angles 90.00, 90.00, 90.00 degrees
Space group Pnma (No. 62)
Unique sites:
Er 0.248 0.250 0.059 (multiplicity 4)
Al 0.141 0.750 0.858 (multiplicity 4)
Ni 0.050 0.750 0.092 (multiplicity 4)
Ni 0.066 0.006 0.306 (multiplicity 8)
Ni 0.097 0.250 0.517 (multiplicity 4)
Ni 0.187 0.250 0.750 (multiplicity 4)

Peak list (10 most intense, 5° ≤ 2θ ≤ 70°, by intensity)
2theta, d (Å), I_rel, hkl
40.30, 2.238, 100, 3 1 1
37.89, 2.374, 28, 1 0 4
47.21, 1.925, 21, 4 0 1
23.55, 3.778, 21, 1 1 1
41.92, 2.155, 19, 0 2 2
69.72, 1.349, 18, 3 3 1
37.63, 2.390, 14, 0 2 0
44.38, 2.041, 14, 2 2 0
48.33, 1.883, 13, 1 2 3
43.55, 2.078, 13, 1 2 2


ErAlO: theoretical X-ray powder pattern (λ = 1.5418 Å (Cu Kα)), based on a crystal structure in Alexandria, relaxed with GGA-PBE.
Kinematic intensities with the Lorentz-polarization factor, no thermal factor.

Structural model:
Cell lengths 3.153, 3.153, 9.967 Å; angles 90.00, 90.00, 90.00 degrees
Space group P4/nmm (No. 129, origin choice 2)
Unique sites:
Er 0.250 0.250 0.146 (multiplicity 2)
Al 0.250 0.250 0.592 (multiplicity 2)
O 0.250 0.250 0.913 (multiplicity 2)

Peak list (10 most intense, 5° ≤ 2θ ≤ 70°, by intensity)
2theta, d (Å), I_rel, hkl
8.87, 9.967, 100, 0 0 1
33.63, 2.665, 64, 1 0 2
29.72, 3.006, 36, 1 0 1
40.46, 2.230, 29, 1 1 0
26.84, 3.322, 23, 0 0 3
54.46, 1.685, 18, 1 0 5
49.22, 1.851, 17, 1 1 3
69.24, 1.357, 17, 2 1 2
55.29, 1.662, 16, 1 1 4
36.05, 2.492, 13, 0 0 4


ErAlTeO6: theoretical X-ray powder pattern (λ = 1.5418 Å (Cu Kα)), based on a crystal structure in Alexandria, relaxed with GGA-PBE.
Kinematic intensities with the Lorentz-polarization factor, no thermal factor.

Structural model:
Cell lengths 5.0594, 5.0594, 9.7587 Å; angles 90.00, 90.00, 120.00 degrees
Space group P-31c (No. 163)
Unique sites:
Er 0.0000 0.0000 0.0000 (multiplicity 2)
Al 0.3333 0.6667 0.2500 (multiplicity 2)
Te 0.3333 0.6667 0.7500 (multiplicity 2)
O 0.0032 0.3649 0.1406 (multiplicity 12)

Peak list (10 most intense, 5° ≤ 2θ ≤ 70°, by intensity)
2theta, d (Å), I_rel, hkl
27.36, 3.260, 100, 1 0 2
52.08, 1.756, 36, 1 1 4
35.49, 2.530, 31, 1 1 0
45.38, 1.999, 24, 2 0 2
58.89, 1.568, 23, 2 1 2
22.24, 3.997, 19, 1 0 1
63.72, 1.461, 11, 3 0 0
20.27, 4.382, 10, 1 0 0
60.74, 1.525, 10, 1 0 6
34.34, 2.612, 7, 1 0 3


Er5Al2Pd12: theoretical X-ray powder pattern (λ = 1.5418 Å (Cu Kα)), based on a crystal structure in Alexandria, relaxed with GGA-PBE.
Kinematic intensities with the Lorentz-polarization factor, no thermal factor.

Structural model:
Cell lengths 15.550, 5.723, 9.657 Å; angles 90.00, 118.51, 90.00 degrees
Space group C2/m (No. 12)
Unique sites:
Er 0.000 0.000 0.000 (multiplicity 2)
Er 0.171 0.500 0.254 (multiplicity 4)
Er 0.198 0.500 0.756 (multiplicity 4)
Al 0.000 0.243 0.500 (multiplicity 4)
Pd 0.010 0.500 0.731 (multiplicity 4)
Pd 0.128 0.000 0.731 (multiplicity 4)
Pd 0.152 0.254 0.992 (multiplicity 8)
Pd 0.157 0.235 0.486 (multiplicity 8)

Peak list (10 most intense, 5° ≤ 2θ ≤ 70°, by intensity)
2theta, d (Å), I_rel, hkl
37.92, 2.372, 100, 0 2 2
33.22, 2.697, 57, 5 1 -2
42.61, 2.122, 50, 0 0 4
39.57, 2.277, 35, 6 0 0
42.13, 2.145, 35, 6 0 -4
24.38, 3.652, 33, 1 1 -2
47.38, 1.919, 30, 6 2 -2
36.62, 2.454, 25, 2 2 -2
12.96, 6.832, 20, 2 0 0
50.16, 1.819, 18, 5 1 2


Er3Al5Pd: theoretical X-ray powder pattern (λ = 1.5418 Å (Cu Kα)), based on a crystal structure in Alexandria, relaxed with GGA-PBE.
Kinematic intensities with the Lorentz-polarization factor, no thermal factor.

Structural model:
Cell lengths 6.9503, 6.9503, 4.3668 Å; angles 90.00, 90.00, 120.00 degrees
Space group P-62m (No. 189)
Unique sites:
Er 0.0000 0.5838 0.0000 (multiplicity 3)
Al 0.0000 0.2350 0.5000 (multiplicity 3)
Al 0.3333 0.6667 0.5000 (multiplicity 2)
Pd 0.0000 0.0000 0.0000 (multiplicity 1)

Peak list (10 most intense, 5° ≤ 2θ ≤ 70°, by intensity)
2theta, d (Å), I_rel, hkl
36.25, 2.478, 100, 2 0 1
32.94, 2.719, 78, 1 1 1
20.34, 4.367, 64, 0 0 1
29.68, 3.010, 52, 2 0 0
25.63, 3.475, 36, 1 1 0
59.26, 1.559, 35, 3 1 1
41.35, 2.183, 26, 0 0 2
39.62, 2.275, 26, 2 1 0
51.73, 1.767, 22, 2 0 2
55.01, 1.669, 20, 3 1 0


ErAl9Pd2: theoretical X-ray powder pattern (λ = 1.5418 Å (Cu Kα)), based on a crystal structure in Alexandria, relaxed with GGA-PBE.
Kinematic intensities with the Lorentz-polarization factor, no thermal factor.

Structural model:
Cell lengths 10.690, 10.690, 7.180 Å; angles 90.00, 90.00, 90.00 degrees
Space group I4_1/amd (No. 141, origin choice 2)
Unique sites:
Er 0.000 0.250 0.375 (multiplicity 4)
Al 0.000 0.250 0.875 (multiplicity 4)
Al 0.122 0.048 0.679 (multiplicity 32)
Pd 0.000 0.000 0.000 (multiplicity 8)

Peak list (10 most intense, 5° ≤ 2θ ≤ 70°, by intensity)
2theta, d (Å), I_rel, hkl
22.34, 3.979, 100, 2 1 1
32.68, 2.740, 68, 3 2 1
36.51, 2.461, 60, 3 1 2
45.60, 1.989, 39, 4 2 2
37.63, 2.390, 33, 4 2 0
33.53, 2.672, 33, 4 0 0
38.55, 2.335, 33, 1 0 3
27.51, 3.243, 23, 1 1 2
47.52, 1.913, 23, 5 2 1
56.78, 1.621, 21, 2 2 4


ErAl2Pd: theoretical X-ray powder pattern (λ = 1.5418 Å (Cu Kα)), based on a crystal structure in Alexandria, relaxed with GGA-PBE.
Kinematic intensities with the Lorentz-polarization factor, no thermal factor.

Structural model:
Cell lengths 15.902, 6.916, 5.494 Å; angles 90.00, 90.00, 90.00 degrees
Space group Pnma (No. 62)
Unique sites:
Er 0.108 0.250 0.229 (multiplicity 4)
Er 0.144 0.750 0.469 (multiplicity 4)
Al 0.033 0.053 0.738 (multiplicity 8)
Al 0.214 0.555 0.954 (multiplicity 8)
Pd 0.072 0.750 0.990 (multiplicity 4)
Pd 0.175 0.250 0.713 (multiplicity 4)

Peak list (10 most intense, 5° ≤ 2θ ≤ 70°, by intensity)
2theta, d (Å), I_rel, hkl
36.98, 2.431, 100, 2 1 2
25.77, 3.458, 60, 0 2 0
35.06, 2.559, 51, 5 1 1
34.37, 2.609, 45, 4 2 0
22.36, 3.975, 32, 4 0 0
53.13, 1.724, 29, 2 3 2
39.96, 2.256, 19, 6 1 1
23.32, 3.814, 16, 3 0 1
43.09, 2.099, 15, 7 0 1
52.96, 1.729, 13, 0 4 0


Er4Al24Pd9: theoretical X-ray powder pattern (λ = 1.5418 Å (Cu Kα)), based on a crystal structure in Alexandria, relaxed with GGA-PBE.
Kinematic intensities with the Lorentz-polarization factor, no thermal factor.

Structural model:
Cell lengths 7.530, 7.534, 13.172 Å; angles 79.10, 84.52, 60.08 degrees
Space group P-1 (No. 2)
Unique sites:
Er 0.001 0.232 0.309 (multiplicity 2)
Er 0.332 0.562 0.309 (multiplicity 2)
Al 0.000 0.314 0.059 (multiplicity 2)
Al 0.001 0.852 0.444 (multiplicity 2)
Al 0.007 0.057 0.828 (multiplicity 2)
Al 0.129 0.309 0.685 (multiplicity 2)
Al 0.332 0.183 0.453 (multiplicity 2)
Al 0.333 0.021 0.939 (multiplicity 2)
Al 0.333 0.646 0.059 (multiplicity 2)
Al 0.334 0.383 0.829 (multiplicity 2)
Al 0.334 0.482 0.556 (multiplicity 2)
Al 0.336 0.897 0.684 (multiplicity 2)
Al 0.340 0.269 0.170 (multiplicity 2)
Al 0.457 0.897 0.316 (multiplicity 2)
Pd 0.000 0.500 0.500 (multiplicity 1)
Pd 0.008 0.612 0.138 (multiplicity 2)
Pd 0.325 0.954 0.138 (multiplicity 2)
Pd 0.328 0.828 0.500 (multiplicity 2)
Pd 0.333 0.705 0.862 (multiplicity 2)

Peak list (10 most intense, 5° ≤ 2θ ≤ 70°, by intensity)
2theta, d (Å), I_rel, hkl
41.51, 2.175, 100, 3 0 0
28.65, 3.116, 69, 1 2 3
30.03, 2.975, 54, 2 1 3
38.48, 2.340, 42, 2 1 -4
34.84, 2.575, 40, 2 1 4
23.73, 3.750, 38, 1 2 1
34.68, 2.587, 20, 0 0 5
55.20, 1.664, 19, 0 3 6
13.74, 6.446, 17, 1 1 0
44.42, 2.039, 15, 1 2 6